(1)
Calculated powder diffraction line list
Compound: SrLi2Ag2Ge2
Radiation: λ = 1.5418 Å (Cu Kα)
Structure: a cell relaxed with GGA-PBE
Peak positions follow from Bragg's law for the DFT cell and can differ from measured ones.

Atomic structure:
```
data_SrLi2Ag2Ge2
_chemical_formula_sum 'Sr2 Li4 Ag4 Ge4'
_symmetry_space_group_name_H-M 'C 1 2/m 1'
_symmetry_Int_Tables_number 12
_symmetry_space_group_name_Hall '-C 2y'
_cell_length_a 7.9728
_cell_length_b 4.5674
_cell_length_c 8.2044
_cell_angle_alpha 90.00
_cell_angle_beta 107.67
_cell_angle_gamma 90.00
loop_
_atom_site_label
_atom_site_fract_x
_atom_site_fract_y
_atom_site_fract_z
_atom_site_occupancy
Sr1 0.0000 0.0000 0.0000 1
Li1 0.1312 0.0000 0.4091 1
Ag1 0.2495 0.5000 0.2593 1
Ge1 0.0667 0.5000 0.6896 1
```

Peak list (10 most intense, 2θ = 5–70°, in order of rising 2θ)
| 2θ/deg | I/Imax | hkl |
| --- | --- | --- |
| 22.7 | 54 | 0 0 2 |
| 27.0 | 100 | 1 1 1 |
| 27.3 | 52 | 2 0 -2 |
| 29.7 | 25 | 1 1 -2 |
| 34.4 | 21 | 0 0 3 |
| 34.9 | 27 | 1 1 2 |
| 39.2 | 93 | 3 1 -1 |
| 39.5 | 46 | 0 2 0 |
| 48.7 | 22 | 2 2 -2 |
| 68.0 | 21 | 1 1 5 |

(2)
Calculated powder diffraction line list
Compound: SmMgAgGe
Radiation: λ = 1.5418 Å (Cu Kα)
Structure: a cell relaxed with GGA-PBE
Peak positions follow from Bragg's law for the DFT cell and can differ from measured ones.

Atomic structure:
```
data_SmMgAgGe
_chemical_formula_sum 'Sm4 Mg4 Ag4 Ge4'
_symmetry_space_group_name_H-M 'F -4 3 m'
_symmetry_Int_Tables_number 216
_symmetry_space_group_name_Hall 'F -4 2 3'
_cell_length_a 7.0400
_cell_length_b 7.0400
_cell_length_c 7.0400
_cell_angle_alpha 90.00
_cell_angle_beta 90.00
_cell_angle_gamma 90.00
loop_
_atom_site_label
_atom_site_fract_x
_atom_site_fract_y
_atom_site_fract_z
_atom_site_occupancy
Sm1 0.0000 0.0000 0.0000 1
Mg1 0.0000 0.0000 0.5000 1
Ag1 0.2500 0.2500 0.2500 1
Ge1 0.2500 0.2500 0.7500 1
```

Peak list (7 most intense, 2θ = 5–70°, in order of rising 2θ)
| 2θ/deg | I/Imax | hkl |
| --- | --- | --- |
| 21.9 | 30 | 1 1 1 |
| 36.1 | 100 | 2 2 0 |
| 42.6 | 16 | 3 1 1 |
| 52.0 | 17 | 4 0 0 |
| 57.0 | 7 | 3 3 1 |
| 64.9 | 35 | 4 2 2 |
| 69.4 | 5 | 5 1 1 |

(3)
Calculated powder diffraction line list
Compound: Na4AgGe
Radiation: λ = 1.5418 Å (Cu Kα)
Structure: a cell relaxed with GGA-PBE
Peak positions follow from Bragg's law for the DFT cell and can differ from measured ones.

Atomic structure:
```
data_Na4AgGe
_chemical_formula_sum 'Na16 Ag4 Ge4'
_symmetry_space_group_name_H-M 'I 4/m c m'
_symmetry_Int_Tables_number 140
_symmetry_space_group_name_Hall '-I 4 2c'
_cell_length_a 7.5210
_cell_length_b 7.5210
_cell_length_c 11.5727
_cell_angle_alpha 90.00
_cell_angle_beta 90.00
_cell_angle_gamma 90.00
loop_
_atom_site_label
_atom_site_fract_x
_atom_site_fract_y
_atom_site_fract_z
_atom_site_occupancy
Na1 0.1770 0.3230 0.1360 1
Ag1 0.0000 0.0000 0.0000 1
Ge1 0.0000 0.0000 0.2500 1
```

Peak list (10 most intense, 2θ = 5–70°, in order of rising 2θ)
| 2θ/deg | I/Imax | hkl |
| --- | --- | --- |
| 16.7 | 100 | 1 1 0 |
| 23.7 | 25 | 2 0 0 |
| 33.7 | 31 | 2 2 0 |
| 35.3 | 54 | 1 1 4 |
| 37.8 | 48 | 3 1 0 |
| 39.3 | 48 | 2 0 4 |
| 46.4 | 12 | 2 2 4 |
| 49.6 | 18 | 3 1 4 |
| 54.6 | 12 | 4 2 0 |
| 61.3 | 16 | 3 3 4 |

(4)
Calculated powder diffraction line list
Compound: Na3Ag4Ge2
Radiation: λ = 1.5418 Å (Cu Kα)
Structure: a cell relaxed with GGA-PBE
Peak positions follow from Bragg's law for the DFT cell and can differ from measured ones.

Atomic structure:
```
data_Na3Ag4Ge2
_chemical_formula_sum 'Na6 Ag8 Ge4'
_symmetry_space_group_name_H-M 'C 1 2/m 1'
_symmetry_Int_Tables_number 12
_symmetry_space_group_name_Hall '-C 2y'
_cell_length_a 10.5214
_cell_length_b 4.6110
_cell_length_c 8.7020
_cell_angle_alpha 90.00
_cell_angle_beta 101.02
_cell_angle_gamma 90.00
loop_
_atom_site_label
_atom_site_fract_x
_atom_site_fract_y
_atom_site_fract_z
_atom_site_occupancy
Na1 0.0000 0.0000 0.0000 1
Na2 0.1171 0.5000 0.3850 1
Ag1 0.0913 0.0000 0.6373 1
Ag2 0.2250 0.5000 0.0813 1
Ge1 0.1912 0.5000 0.7682 1
```

Peak list (10 most intense, 2θ = 5–70°, in order of rising 2θ)
| 2θ/deg | I/Imax | hkl |
| --- | --- | --- |
| 17.2 | 26 | 2 0 0 |
| 18.3 | 100 | 2 0 -1 |
| 22.8 | 24 | 1 1 -1 |
| 32.5 | 18 | 3 1 0 |
| 36.0 | 27 | 3 1 -2 |
| 39.1 | 36 | 0 2 0 |
| 39.6 | 60 | 1 1 3 |
| 41.6 | 28 | 3 1 2 |
| 43.5 | 21 | 2 2 -1 |
| 46.1 | 19 | 1 1 -4 |

(5)
Calculated powder diffraction line list
Compound: Na5AgGe2S7
Radiation: λ = 1.5418 Å (Cu Kα)
Structure: a cell relaxed with GGA-PBE
Peak positions follow from Bragg's law for the DFT cell and can differ from measured ones.

Atomic structure:
```
data_Na5AgGe2S7
_chemical_formula_sum 'Na20 Ag4 Ge8 S28'
_symmetry_space_group_name_H-M 'C 1 2/c 1'
_symmetry_Int_Tables_number 15
_symmetry_space_group_name_Hall '-C 2yc'
_cell_length_a 9.2759
_cell_length_b 10.3300
_cell_length_c 14.8855
_cell_angle_alpha 90.00
_cell_angle_beta 103.56
_cell_angle_gamma 90.00
loop_
_atom_site_label
_atom_site_fract_x
_atom_site_fract_y
_atom_site_fract_z
_atom_site_occupancy
Na1 0.0000 0.0000 0.0000 1
Na2 0.1175 0.3551 0.0812 1
Na3 0.2495 0.2248 0.3591 1
Ag1 0.0000 0.0840 0.7500 1
Ge1 0.1602 0.4230 0.8593 1
S1 0.0000 0.4569 0.2500 1
S2 0.0653 0.2366 0.8926 1
S3 0.1308 0.1123 0.1851 1
S4 0.1959 0.4328 0.4735 1
```

Peak list (10 most intense, 2θ = 5–70°, in order of rising 2θ)
| 2θ/deg | I/Imax | hkl |
| --- | --- | --- |
| 13.4 | 62 | 1 1 -1 |
| 19.4 | 100 | 1 1 2 |
| 20.6 | 66 | 2 0 -2 |
| 28.0 | 44 | 2 2 1 |
| 30.2 | 50 | 3 1 -1 |
| 31.0 | 48 | 3 1 0 |
| 32.1 | 75 | 1 3 -3 |
| 35.6 | 54 | 0 2 5 |
| 46.7 | 35 | 2 0 6 |
| 47.2 | 36 | 0 4 5 |

(6)
Calculated powder diffraction line list
Compound: Na2AgGeSe4
Radiation: λ = 1.5418 Å (Cu Kα)
Structure: a cell relaxed with GGA-PBE
Peak positions follow from Bragg's law for the DFT cell and can differ from measured ones.

Atomic structure:
```
data_Na2AgGeSe4
_chemical_formula_sum 'Na4 Ag2 Ge2 Se8'
_symmetry_space_group_name_H-M 'I -4 2 m'
_symmetry_Int_Tables_number 121
_symmetry_space_group_name_Hall 'I -4 2'
_cell_length_a 7.4698
_cell_length_b 7.4698
_cell_length_c 6.8829
_cell_angle_alpha 90.00
_cell_angle_beta 90.00
_cell_angle_gamma 90.00
loop_
_atom_site_label
_atom_site_fract_x
_atom_site_fract_y
_atom_site_fract_z
_atom_site_occupancy
Na1 0.0000 0.5000 0.0000 1
Ag1 0.0000 0.0000 0.0000 1
Ge1 0.0000 0.0000 0.5000 1
Se1 0.1795 0.1795 0.2880 1
```

Peak list (10 most intense, 2θ = 5–70°, in order of rising 2θ)
| 2θ/deg | I/Imax | hkl |
| --- | --- | --- |
| 16.8 | 73 | 1 1 0 |
| 29.7 | 94 | 2 1 1 |
| 31.0 | 18 | 1 1 2 |
| 33.9 | 43 | 2 2 0 |
| 35.5 | 100 | 2 0 2 |
| 46.6 | 35 | 3 1 2 |
| 48.1 | 14 | 2 1 3 |
| 51.9 | 18 | 3 3 0 |
| 52.2 | 29 | 4 1 1 |
| 56.0 | 13 | 4 0 2 |

(7)
Calculated powder diffraction line list
Compound: NaSrAgGe
Radiation: λ = 1.5418 Å (Cu Kα)
Structure: a cell relaxed with GGA-PBE
Peak positions follow from Bragg's law for the DFT cell and can differ from measured ones.

Atomic structure:
```
data_NaSrAgGe
_chemical_formula_sum 'Na4 Sr4 Ag4 Ge4'
_symmetry_space_group_name_H-M 'F -4 3 m'
_symmetry_Int_Tables_number 216
_symmetry_space_group_name_Hall 'F -4 2 3'
_cell_length_a 7.2162
_cell_length_b 7.2162
_cell_length_c 7.2162
_cell_angle_alpha 90.00
_cell_angle_beta 90.00
_cell_angle_gamma 90.00
loop_
_atom_site_label
_atom_site_fract_x
_atom_site_fract_y
_atom_site_fract_z
_atom_site_occupancy
Na1 0.0000 0.0000 0.0000 1
Sr1 0.2500 0.2500 0.2500 1
Ag1 0.2500 0.2500 0.7500 1
Ge1 0.0000 0.0000 0.5000 1
```

Peak list (10 most intense, 2θ = 5–70°, in order of rising 2θ)
| 2θ/deg | I/Imax | hkl |
| --- | --- | --- |
| 21.3 | 8 | 1 1 1 |
| 24.7 | 14 | 2 0 0 |
| 35.2 | 100 | 2 2 0 |
| 41.5 | 4 | 3 1 1 |
| 43.4 | 4 | 2 2 2 |
| 50.6 | 17 | 4 0 0 |
| 55.5 | 2 | 3 3 1 |
| 57.1 | 5 | 4 2 0 |
| 63.1 | 34 | 4 2 2 |
| 67.4 | 1 | 5 1 1 |

(8)
Calculated powder diffraction line list
Compound: Na2AgGeTe4
Radiation: λ = 1.5418 Å (Cu Kα)
Structure: a cell relaxed with GGA-PBE
Peak positions follow from Bragg's law for the DFT cell and can differ from measured ones.

Atomic structure:
```
data_Na2AgGeTe4
_chemical_formula_sum 'Na2 Ag1 Ge1 Te4'
_symmetry_space_group_name_H-M 'P 1'
_symmetry_Int_Tables_number 1
_symmetry_space_group_name_Hall 'P 1'
_cell_length_a 6.9495
_cell_length_b 6.9495
_cell_length_c 6.9513
_cell_angle_alpha 109.92
_cell_angle_beta 109.23
_cell_angle_gamma 109.25
loop_
_atom_site_label
_atom_site_fract_x
_atom_site_fract_y
_atom_site_fract_z
_atom_site_occupancy
Na1 0.0000 0.0000 0.0000 1
Na2 0.4988 0.7496 0.2512 1
Ag1 0.4989 0.2485 0.7501 1
Ge1 0.9991 0.4986 0.4999 1
Te1 0.0306 0.1408 0.5247 1
Te2 0.3832 0.8870 0.8567 1
Te3 0.6168 0.4737 0.5070 1
Te4 0.9669 0.4942 0.1115 1
```

Peak list (10 most intense, 2θ = 5–70°, in order of rising 2θ)
| 2θ/deg | I/Imax | hkl |
| --- | --- | --- |
| 15.6 | 77 | 1 0 -1 |
| 22.3 | 34 | -1 1 1 |
| 27.2 | 100 | 1 0 1 |
| 27.3 | 91 | 1 -2 0 |
| 31.4 | 52 | 2 0 0 |
| 35.3 | 20 | 2 -1 1 |
| 42.1 | 84 | 1 0 2 |
| 48.0 | 53 | 1 -2 3 |
| 48.2 | 28 | 0 3 0 |
| 48.3 | 23 | -2 3 1 |